Diffraction record for La2NdAg6. The powder diffractogram is theoretical, not measured: it uses a cell relaxed with GGA-PBE and Cu Kα X-rays.

Top 10 peaks for 2θ = 15–90°, by angle:
2θ (°)	d [Å]	Rel. int.
32.46	2.758	100.0
37.21	2.417	72.0
49.72	1.834	10.2
50.19	1.818	28.7
63.70	1.461	28.4
64.11	1.453	26.9
67.08	1.395	12.1
79.29	1.208	7.5
87.94	1.110	11.9
88.30	1.107	11.5

Crystal structure
```
data_La2NdAg6
_cell_length_a 8.3712
_cell_length_b 8.3712
_cell_length_c 3.6676
_cell_angle_alpha 90.00
_cell_angle_beta 90.00
_cell_angle_gamma 120.00
_symmetry_space_group_name_H-M 'P 6/m m m'
_symmetry_Int_Tables_number 191
_symmetry_space_group_name_Hall '-P 6 2'
loop_
_atom_site_label
_atom_site_fract_x
_atom_site_fract_y
_atom_site_fract_z
La1 0.3333 0.6667 0.0000
Nd1 0.0000 0.0000 0.0000
Ag1 0.0000 0.3323 0.5000
```

***

Diffraction record for NaCd3In3. The powder diffractogram is theoretical, not measured: it uses a cell relaxed with GGA-PBE and Cu Kα X-rays.

Top 10 peaks for 2θ = 15–90°, by angle:
2θ (°)	d [Å]	Rel. int.
20.54	4.324	6.2
31.18	2.869	23.7
34.08	2.631	24.7
35.65	2.519	100.0
46.86	1.939	14.9
55.48	1.656	17.2
62.02	1.496	18.8
66.74	1.402	19.3
67.71	1.384	13.8
87.95	1.110	6.9

Crystal structure
```
data_NaCd3In3
_cell_length_a 8.7637
_cell_length_b 8.7637
_cell_length_c 5.2618
_cell_angle_alpha 90.00
_cell_angle_beta 90.00
_cell_angle_gamma 120.00
_symmetry_space_group_name_H-M 'P 63/m'
_symmetry_Int_Tables_number 176
_symmetry_space_group_name_Hall '-P 6c'
loop_
_atom_site_label
_atom_site_fract_x
_atom_site_fract_y
_atom_site_fract_z
Na1 0.3333 0.6667 0.2500
Cd1 0.0421 0.8112 0.2500
In1 0.0910 0.6216 0.7500
```

***

Diffraction record for AgP15. The powder diffractogram is theoretical, not measured: it uses a cell relaxed with GGA-PBE and Cu Kα X-rays.

Top 10 peaks for 2θ = 15–90°, by angle:
2θ (°)	d [Å]	Rel. int.
15.17	5.840	100.0
15.90	5.575	38.6
21.19	4.193	53.6
26.30	3.389	58.4
27.86	3.202	45.5
31.20	2.867	63.1
34.61	2.592	83.4
35.24	2.547	50.4
41.63	2.170	41.6
51.44	1.776	41.7

Crystal structure
```
data_AgP15
_cell_length_a 7.3549
_cell_length_b 9.1975
_cell_length_c 11.8388
_cell_angle_alpha 102.21
_cell_angle_beta 93.35
_cell_angle_gamma 108.75
_symmetry_space_group_name_H-M 'P -1'
_symmetry_Int_Tables_number 2
loop_
_symmetry_equiv_pos_as_xyz
'x,y,z'
'-x,-y,-z'
loop_
_atom_site_label
_atom_site_fract_x
_atom_site_fract_y
_atom_site_fract_z
Ag1 0.1352 0.2832 0.4823
P1 0.0377 0.4528 0.2134
P2 0.0521 0.8337 0.3616
P3 0.0992 0.2230 0.8189
P4 0.1186 0.6663 0.6569
P5 0.1589 0.8362 0.0889
P6 0.1946 0.4826 0.8743
P7 0.2034 0.0845 0.1758
P8 0.2319 0.6775 0.3301
P9 0.2734 0.0782 0.3610
P10 0.3018 0.8846 0.7882
P11 0.3328 0.5586 0.5995
P12 0.3883 0.7767 0.1958
P13 0.4425 0.5519 0.7721
P14 0.4685 0.0047 0.6657
P15 0.4852 0.2000 0.1220
```

***

Diffraction record for RbB3P. The powder diffractogram is theoretical, not measured: it uses a cell relaxed with GGA-PBE and Cu Kα X-rays.

Top 10 peaks for 2θ = 15–90°, by angle:
2θ (°)	d [Å]	Rel. int.
20.73	4.286	15.4
23.70	3.753	22.0
25.26	3.526	20.6
27.53	3.240	100.0
28.64	3.117	31.1
35.41	2.535	17.2
38.55	2.335	15.8
40.09	2.249	12.1
45.93	1.976	11.8
50.04	1.823	24.3

Crystal structure
```
data_RbB3P
_cell_length_a 4.4983
_cell_length_b 6.2330
_cell_length_c 14.1043
_cell_angle_alpha 90.00
_cell_angle_beta 90.00
_cell_angle_gamma 90.00
_symmetry_space_group_name_H-M 'I m m 2'
_symmetry_Int_Tables_number 44
loop_
_symmetry_equiv_pos_as_xyz
'x,y,z'
'-x,-y,z'
'-x,y,z'
'x,-y,z'
'x+1/2,y+1/2,z+1/2'
'-x+1/2,-y+1/2,z+1/2'
'-x+1/2,y+1/2,z+1/2'
'x+1/2,-y+1/2,z+1/2'
loop_
_atom_site_label
_atom_site_fract_x
_atom_site_fract_y
_atom_site_fract_z
Rb1 0.0000 0.0000 0.0000
Rb2 0.0000 0.5000 0.2090
B1 0.0000 0.1598 0.3816
B2 0.1862 0.0000 0.2942
B3 0.1868 0.5000 0.9112
P1 0.0000 0.0000 0.5070
P2 0.0000 0.5000 0.7033
```